Record 1
Diffraction record for Pm3HgGe2. The powder X-ray diffraction pattern is computed, not measured: it uses DFT lattice parameters and positions (PBE) and Cu Kα X-rays.
Peak positions follow from Bragg's law for the DFT cell and can differ from measured ones.

```
data_Pm3HgGe2
_chemical_formula_sum 'Pm18 Hg6 Ge12'
_cell_length_a 7.4326
_cell_length_b 7.4326
_cell_length_c 21.6093
_cell_angle_alpha 90.00
_cell_angle_beta 90.00
_cell_angle_gamma 120.00
_space_group_name_H-M_alt 'R -3 c'
_space_group_IT_number 167
_space_group_name_Hall '-R 3 2"c'
loop_
_atom_site_label
_atom_site_type_symbol
_atom_site_fract_x
_atom_site_fract_y
_atom_site_fract_z
Pm1 Pm 0.0000 0.3035 0.2500
Hg1 Hg 0.0000 0.0000 0.0000
Ge1 Ge 0.0000 0.0000 0.1578
```

Peak list (6 most intense, 10 to 90 degrees two-theta, sorted by position)
2θ = 27.00°, d 3.303, I = 85
2θ = 34.68°, d 2.586, I = 100
2θ = 42.11°, d 2.146, I = 53
2θ = 50.72°, d 1.800, I = 22
2θ = 55.66°, d 1.651, I = 25
2θ = 67.97°, d 1.379, I = 32

=====

Record 2
Diffraction record for Pm3Hg2Ge3. The powder X-ray diffraction pattern is computed, not measured: it uses DFT lattice parameters and positions (PBE) and Cu Kα X-rays.
Peak positions follow from Bragg's law for the DFT cell and can differ from measured ones.

```
data_Pm3Hg2Ge3
_chemical_formula_sum 'Pm6 Hg4 Ge6'
_cell_length_a 8.8845
_cell_length_b 8.8845
_cell_length_c 6.1544
_cell_angle_alpha 90.00
_cell_angle_beta 90.00
_cell_angle_gamma 120.00
_space_group_name_H-M_alt 'P 63/m c m'
_space_group_IT_number 193
_space_group_name_Hall '-P 6c 2'
loop_
_atom_site_label
_atom_site_type_symbol
_atom_site_fract_x
_atom_site_fract_y
_atom_site_fract_z
Pm1 Pm 0.0000 0.3189 0.2500
Hg1 Hg 0.3333 0.6667 0.0000
Ge1 Ge 0.0000 0.3476 0.7500
```

Peak list (6 most intense, 10 to 90 degrees two-theta, sorted by position)
2θ = 11.50°, d 7.694, I = 42
2θ = 34.99°, d 2.565, I = 100
2θ = 35.49°, d 2.530, I = 93
2θ = 50.69°, d 1.801, I = 33
2θ = 63.07°, d 1.474, I = 34
2θ = 71.51°, d 1.319, I = 25